Entry 1:
Calculated powder XRD pattern of Mn4Pd7Au for Cu Kα, 1.54184 Å, from a crystal structure in Alexandria, relaxed with PBE.
Peak positions follow from Bragg's law for the DFT cell and can differ from measured ones.

The 12 most intense peaks (10 to 80 degrees two-theta), most intense first:
2θ/deg, I_rel
39.3, 100.0
39.8, 51.9
39.4, 50.4
44.3, 35.7
46.4, 30.9
47.0, 29.3
13.0, 15.4
67.0, 10.8
67.9, 10.5
66.3, 10.2
65.9, 10.2
66.2, 10.0

Crystal structure
a = 4.947 Å, b = 5.524 Å, c = 7.278 Å
α = 78.34°, β = 72.72°, γ = 89.75°
Space group P-1 (No. 2)
Asymmetric unit:
Mn 0.179 0.162 0.326
Mn 0.315 0.572 0.676
Pd 0.001 0.750 0.996
Pd 0.180 0.657 0.344
Pd 0.321 0.085 0.654
Pd 0.500 0.500 0.000
Au 0.500 0.000 0.000


Entry 2:
Calculated powder XRD pattern of Mn3Pd2Au4 for Cu Kα, 1.54184 Å, from a crystal structure in Alexandria, relaxed with PBE.
Peak positions follow from Bragg's law for the DFT cell and can differ from measured ones.

The 12 most intense peaks (10 to 80 degrees two-theta), most intense first:
2θ/deg, I_rel
38.2, 100.0
40.8, 83.5
47.1, 55.4
37.9, 51.6
22.8, 27.5
62.0, 23.8
28.5, 19.9
70.4, 16.2
70.6, 16.2
66.0, 11.2
66.2, 9.8
35.2, 9.6

Crystal structure
a = 13.000 Å, b = 9.507 Å, c = 4.868 Å
α = 90.00°, β = 98.87°, γ = 90.00°
Space group C2/c (No. 15)
Asymmetric unit:
Mn 0.000 0.117 0.250
Mn 0.168 0.372 0.080
Pd 0.110 0.125 0.815
Au 0.056 0.371 0.524
Au 0.222 0.122 0.361